Record 1
The following is a simulated powder diffractogram of Nd12DySc7. It was derived from DFT lattice parameters and positions (GGA-PBE), using Cu Kα, 1.54184 Å.

Largest 10 diffraction maxima, in order of falling intensity, 2θ = 10–80°:
| (hkl) | d (Å) | I (rel.) |
| --- | --- | --- |
| 1 4 0 | 2.815 | 100 |
| 1 1 3 | 2.991 | 52 |
| 4 -3 1 | 3.361 | 42 |
| 3 0 3 | 2.601 | 38 |
| 2 2 3 | 2.456 | 37 |
| 4 -1 2 | 2.890 | 29 |
| 3 -2 2 | 3.456 | 25 |
| 4 0 1 | 3.064 | 21 |
| 7 -5 3 | 1.746 | 20 |
| 8 -5 1 | 1.811 | 18 |

Atomic structure:
Cell: 14.8973 14.8973 9.7994 Å, 90.00 90.00 120.00°
Space group R-3 (No. 148, hexagonal axes)
Symmetry-distinct sites (fractional):
Nd  0.0397  0.1937  0.2556 x18
Nd  0.0437  0.2567  0.5819 x18
Dy  0.0000  0.0000  0.0000 x3
Sc  0.0000  0.0000  0.5000 x3
Sc  0.0708  0.2436  0.9291 x18

***

Record 2
The following is a simulated powder diffractogram of NdDy5Sc. It was derived from DFT lattice parameters and positions (GGA-PBE), using Cu Kα, 1.54184 Å.

Largest 10 diffraction maxima, in order of falling intensity, 2θ = 10–80°:
| (hkl) | d (Å) | I (rel.) |
| --- | --- | --- |
| 3 0 1 | 2.793 | 100 |
| 1 1 2 | 2.875 | 70 |
| 1 1 -3 | 2.772 | 52 |
| 2 1 -2 | 2.716 | 40 |
| 2 1 -1 | 2.814 | 39 |
| 0 1 3 | 2.784 | 36 |
| 1 0 -4 | 3.393 | 26 |
| 0 0 5 | 2.674 | 25 |
| 0 2 0 | 1.783 | 23 |
| 3 0 -4 | 2.532 | 23 |

Atomic structure:
Cell: 9.226 3.565 13.725 Å, 90.00 103.07 90.00°
Space group P2_1/m (No. 11)
Symmetry-distinct sites (fractional):
Nd  0.111  0.250  0.134 x2
Dy  0.009  0.750  0.374 x2
Dy  0.203  0.250  0.882 x2
Dy  0.332  0.250  0.507 x2
Dy  0.349  0.750  0.720 x2
Dy  0.418  0.750  0.083 x2
Sc  0.351  0.750  0.307 x2

***

Record 3
The following is a simulated powder diffractogram of NdDy2Sc5. It was derived from DFT lattice parameters and positions (GGA-PBE), using Cu Kα, 1.54184 Å.

Largest 10 diffraction maxima, in order of falling intensity, 2θ = 10–80°:
| (hkl) | d (Å) | I (rel.) |
| --- | --- | --- |
| 2 0 2 | 2.755 | 100 |
| 2 2 0 | 2.418 | 34 |
| 4 2 2 | 1.453 | 27 |
| 2 2 4 | 1.676 | 22 |
| 0 0 2 | 4.653 | 20 |
| 2 0 0 | 3.419 | 20 |
| 0 0 4 | 2.327 | 15 |
| 2 0 6 | 1.413 | 12 |
| 4 0 0 | 1.710 | 12 |
| 2 2 2 | 2.145 | 11 |

Atomic structure:
Cell: 6.838 6.838 9.307 Å, 90.00 90.00 90.00°
Space group I4mm (No. 107)
Symmetry-distinct sites (fractional):
Nd  0.000  0.000  0.000 x2
Dy  0.000  0.500  0.000 x4
Sc  0.000  0.000  0.501 x2
Sc  0.250  0.250  0.250 x8

***

Question: Which formula does entry 3 have?
Answer: NdDy2Sc5

***

Question: What is the formula in the second record?
Answer: NdDy5Sc

***

What did the first record say?
The following is a simulated powder diffractogram of Nd12DySc7. It was derived from DFT lattice parameters and positions (GGA-PBE), using Cu Kα, 1.54184 Å.

Largest 10 diffraction maxima, in order of falling intensity, 2θ = 10–80°:
| (hkl) | d (Å) | I (rel.) |
| --- | --- | --- |
| 1 4 0 | 2.815 | 100 |
| 1 1 3 | 2.991 | 52 |
| 4 -3 1 | 3.361 | 42 |
| 3 0 3 | 2.601 | 38 |
| 2 2 3 | 2.456 | 37 |
| 4 -1 2 | 2.890 | 29 |
| 3 -2 2 | 3.456 | 25 |
| 4 0 1 | 3.064 | 21 |
| 7 -5 3 | 1.746 | 20 |
| 8 -5 1 | 1.811 | 18 |

Atomic structure:
Cell: 14.8973 14.8973 9.7994 Å, 90.00 90.00 120.00°
Space group R-3 (No. 148, hexagonal axes)
Symmetry-distinct sites (fractional):
Nd  0.0397  0.1937  0.2556 x18
Nd  0.0437  0.2567  0.5819 x18
Dy  0.0000  0.0000  0.0000 x3
Sc  0.0000  0.0000  0.5000 x3
Sc  0.0708  0.2436  0.9291 x18